Entry 1:
Starting from a DFT-relaxed cell (PBE, Alexandria), the powder diffractogram of PuPRh2 was simulated for Cu Kα, 1.54184 Å.
Peak positions follow from Bragg's law for the DFT cell and can differ from measured ones.

Most intense lines, 2θ from 10° to 90°, in order of falling intensity:
d_spacing, two_theta, intensity, h k l
2.420, 37.1, 1000, 1 0 3
2.354, 38.2, 944, 1 1 2
2.617, 34.3, 876, 1 1 1
1.928, 47.1, 739, 2 0 0
3.563, 25.0, 668, 1 0 1
2.726, 32.8, 623, 1 1 0

Atomic structure:
```
data_PuPRh2
_cell_length_a 3.8558
_cell_length_b 3.8558
_cell_length_c 9.3281
_cell_angle_alpha 90.00
_cell_angle_beta 90.00
_cell_angle_gamma 90.00
_symmetry_space_group_name_H-M 'P 4/n m m'
_symmetry_Int_Tables_number 129
loop_
_symmetry_equiv_pos_as_xyz
'x,y,z'
'-x,-y,-z'
'-y+1/2,x,z'
'y+1/2,-x,-z'
'-x+1/2,-y+1/2,z'
'x+1/2,y+1/2,-z'
'y,-x+1/2,z'
'-y,x+1/2,-z'
'x+1/2,-y,-z'
'-x+1/2,y,z'
'-y,-x,-z'
'y,x,z'
'-x,y+1/2,-z'
'x,-y+1/2,z'
'y+1/2,x+1/2,-z'
'-y+1/2,-x+1/2,z'
loop_
_atom_site_label
_atom_site_fract_x
_atom_site_fract_y
_atom_site_fract_z
_atom_site_occupancy
Pu1 0.2500 0.2500 0.2090 1
P1 0.2500 0.2500 0.6499 1
Rh1 0.2500 0.2500 0.9031 1
Rh2 0.2500 0.7500 0.5000 1
```

Entry 2:
Starting from a DFT-relaxed cell (PBE, Alexandria), the powder diffractogram of LiNdPa2N4 was simulated for Cu Kα, 1.54184 Å.
Peak positions follow from Bragg's law for the DFT cell and can differ from measured ones.

Most intense lines, 2θ from 10° to 90°, in order of falling intensity:
d_spacing, two_theta, intensity, h k l
3.155, 28.3, 1000, 0 2 3
2.918, 30.6, 638, 1 1 2
2.881, 31.0, 405, 0 4 0
1.711, 53.6, 396, 0 6 3
1.884, 48.3, 372, 0 0 6
2.372, 37.9, 367, 1 3 2

Atomic structure:
```
data_LiNdPa2N4
_cell_length_a 3.5659
_cell_length_b 11.5247
_cell_length_c 11.3092
_cell_angle_alpha 90.00
_cell_angle_beta 90.00
_cell_angle_gamma 90.00
_symmetry_space_group_name_H-M 'C m c m'
_symmetry_Int_Tables_number 63
_symmetry_space_group_name_Hall '-C 2c 2'
loop_
_atom_site_label
_atom_site_fract_x
_atom_site_fract_y
_atom_site_fract_z
_atom_site_occupancy
Li1 0.0000 0.1657 0.2500 1
Nd1 0.0000 0.0998 0.7500 1
Pa1 0.0000 0.3707 0.5580 1
N1 0.0000 0.0000 0.0000 1
N2 0.0000 0.2620 0.1078 1
N3 0.0000 0.4394 0.7500 1
```

Entry 3:
Starting from a DFT-relaxed cell (PBE, Alexandria), the powder diffractogram of DyAl4Ga was simulated for Cu Kα, 1.54184 Å.
Peak positions follow from Bragg's law for the DFT cell and can differ from measured ones.

Most intense lines, 2θ from 10° to 90°, in order of falling intensity:
d_spacing, two_theta, intensity, h k l
2.428, 37.0, 1000, 1 3 1
6.272, 14.1, 601, 0 2 0
2.901, 30.8, 483, 1 1 1
3.136, 28.5, 179, 0 4 0
2.119, 42.7, 169, 0 0 2
2.099, 43.1, 164, 2 0 0

Atomic structure:
```
data_DyAl4Ga
_cell_length_a 4.1975
_cell_length_b 12.5433
_cell_length_c 4.2374
_cell_angle_alpha 90.00
_cell_angle_beta 90.00
_cell_angle_gamma 90.00
_symmetry_space_group_name_H-M 'C m m m'
_symmetry_Int_Tables_number 65
_symmetry_space_group_name_Hall '-C 2 2'
loop_
_atom_site_label
_atom_site_fract_x
_atom_site_fract_y
_atom_site_fract_z
_atom_site_occupancy
Dy1 0.0000 0.0000 0.0000 1
Al1 0.0000 0.1747 0.5000 1
Al2 0.0000 0.3223 0.0000 1
Ga1 0.0000 0.5000 0.5000 1
```

Entry 4:
Starting from a DFT-relaxed cell (PBE, Alexandria), the powder diffractogram of ZnSnPt4 was simulated for Cu Kα, 1.54184 Å.
Peak positions follow from Bragg's law for the DFT cell and can differ from measured ones.

Most intense lines, 2θ from 10° to 90°, in order of falling intensity:
d_spacing, two_theta, intensity, h k l
2.182, 41.4, 1000, 1 1 -2
2.176, 41.5, 992, 1 1 2
2.768, 32.3, 741, 1 1 0
3.534, 25.2, 617, 0 0 2
2.115, 42.7, 490, 0 2 0
1.233, 77.4, 327, 1 3 2

Atomic structure:
```
data_ZnSnPt4
_cell_length_a 3.6598
_cell_length_b 4.2308
_cell_length_c 7.0671
_cell_angle_alpha 90.00
_cell_angle_beta 90.18
_cell_angle_gamma 90.00
_symmetry_space_group_name_H-M 'P 1 2/m 1'
_symmetry_Int_Tables_number 10
_symmetry_space_group_name_Hall '-P 2y'
loop_
_atom_site_label
_atom_site_fract_x
_atom_site_fract_y
_atom_site_fract_z
_atom_site_occupancy
Zn1 0.0000 0.0000 0.0000 1
Sn1 0.5000 0.5000 0.5000 1
Pt1 0.9998 0.5000 0.2174 1
Pt2 0.4994 0.0000 0.7431 1
```